Diffraction record for UNb6O16. The powder X-ray diffraction pattern is computed, not measured: it uses a crystal structure in Alexandria, relaxed with PBE and Cu Kα.

Crystal structure
abc: 6.768 7.997 8.819
angles: 80.60 83.60 71.88
Positions (direct):
U: 0.000 0.000 0.000
Nb: 0.397 0.573 0.148
Nb: 0.398 0.224 0.505
Nb: 0.409 0.956 0.173
Nb: 0.591 0.044 0.827
Nb: 0.602 0.776 0.495
Nb: 0.603 0.427 0.852
O: 0.119 0.071 0.191
O: 0.126 0.733 0.107
O: 0.131 0.273 0.549
O: 0.344 0.981 0.939
O: 0.374 0.413 0.998
O: 0.434 0.398 0.333
O: 0.474 0.031 0.363
O: 0.483 0.719 0.306
O: 0.517 0.281 0.694
O: 0.526 0.969 0.637
O: 0.566 0.602 0.667
O: 0.626 0.587 0.002
O: 0.656 0.019 0.061
O: 0.869 0.727 0.451
O: 0.874 0.267 0.893
O: 0.881 0.929 0.809

Peak list (10 most intense, 10 to 90 degrees two-theta, low angle first)
| Position (°2θ) | I/Imax |
| --- | --- |
| 10.2 | 85 |
| 11.8 | 83 |
| 13.8 | 75 |
| 14.5 | 68 |
| 16.9 | 58 |
| 17.7 | 77 |
| 19.7 | 100 |
| 24.5 | 52 |
| 27.1 | 61 |
| 36.0 | 32 |


Diffraction record for UNb6O16. The powder X-ray diffraction pattern is computed, not measured: it uses a crystal structure in Alexandria, relaxed with PBE and Cu Kα.

Crystal structure
abc: 11.537 11.537 7.417
angles: 95.98 95.98 19.13
Positions (direct):
U: 0.000 0.000 0.000
Nb: 0.057 0.089 0.528
Nb: 0.332 0.406 0.113
Nb: 0.352 0.093 0.322
Nb: 0.594 0.668 0.887
Nb: 0.907 0.648 0.678
Nb: 0.911 0.943 0.472
O: 0.003 0.025 0.325
O: 0.086 0.125 0.822
O: 0.106 0.541 0.899
O: 0.167 0.115 0.417
O: 0.366 0.227 0.217
O: 0.381 0.150 0.599
O: 0.406 0.436 0.390
O: 0.450 0.437 0.979
O: 0.459 0.894 0.101
O: 0.563 0.550 0.021
O: 0.564 0.594 0.610
O: 0.773 0.634 0.783
O: 0.850 0.619 0.401
O: 0.875 0.914 0.178
O: 0.885 0.833 0.583
O: 0.975 0.997 0.675

Peak list (10 most intense, 10 to 90 degrees two-theta, low angle first)
| Position (°2θ) | I/Imax |
| --- | --- |
| 15.0 | 54 |
| 23.5 | 37 |
| 25.4 | 100 |
| 26.1 | 45 |
| 26.2 | 81 |
| 26.7 | 29 |
| 29.3 | 37 |
| 33.7 | 48 |
| 50.1 | 34 |
| 54.9 | 33 |


Diffraction record for UNb6O16. The powder X-ray diffraction pattern is computed, not measured: it uses a crystal structure in Alexandria, relaxed with PBE and Cu Kα.

Crystal structure
abc: 6.554 6.663 9.668
angles: 106.65 101.18 105.31
Positions (direct):
U: 0.000 0.000 0.000
Nb: 0.100 0.657 0.642
Nb: 0.472 0.213 0.921
Nb: 0.472 0.914 0.515
Nb: 0.564 0.425 0.623
Nb: 0.595 0.929 0.150
Nb: 0.868 0.418 0.284
O: 0.063 0.314 0.195
O: 0.124 0.696 0.443
O: 0.184 0.227 0.917
O: 0.274 0.495 0.678
O: 0.321 0.959 0.047
O: 0.333 0.956 0.711
O: 0.352 0.173 0.479
O: 0.524 0.865 0.317
O: 0.560 0.683 0.559
O: 0.584 0.417 0.833
O: 0.637 0.420 0.137
O: 0.674 0.031 0.961
O: 0.708 0.168 0.637
O: 0.806 0.437 0.488
O: 0.841 0.831 0.126
O: 0.925 0.708 0.780

Peak list (10 most intense, 10 to 90 degrees two-theta, low angle first)
| Position (°2θ) | I/Imax |
| --- | --- |
| 14.6 | 87 |
| 19.2 | 100 |
| 20.0 | 72 |
| 20.6 | 52 |
| 22.2 | 32 |
| 28.8 | 32 |
| 29.0 | 41 |
| 29.5 | 52 |
| 30.6 | 37 |
| 34.9 | 47 |